(1)
For CuAg3Cl7, a crystal structure in Alexandria, relaxed with GGA-PBE gives the theoretical X-ray powder pattern in this record (Cu Ka).
Intensities are scaled so that the largest is 100.

Top 10 peaks for 10 to 90 degrees two-theta, most intense first:
2θ/deg	intensity
21.3	100.0
41.7	45.6
22.0	42.5
32.1	30.0
46.5	29.2
13.6	25.0
50.1	22.6
26.9	19.9
35.7	19.2
55.0	17.6

Cell and atoms:
```
CuAg3Cl7
1.0
5.4595 3.1521 2.9770
-5.4595 3.1521 2.9770
0.0000 -6.3041 2.9770
Cu Ag Cl
1 3 7
Direct
0.0000 0.0000 0.0000
0.4521 0.4521 0.8199
0.4521 0.8199 0.4521
0.8199 0.4521 0.4521
0.1639 0.1639 0.8184
0.1639 0.8184 0.1639
0.2090 0.6041 0.6041
0.6041 0.2090 0.6041
0.6041 0.6041 0.2090
0.7412 0.7412 0.7412
0.8184 0.1639 0.1639
```

(2)
For CuAg5Cl7, a crystal structure in Alexandria, relaxed with GGA-PBE gives the theoretical X-ray powder pattern in this record (Cu Ka).
Intensities are scaled so that the largest is 100.

Top 10 peaks for 10 to 90 degrees two-theta, most intense first:
2θ/deg	intensity
25.9	100.0
25.2	79.2
33.1	49.9
27.5	46.8
31.9	41.6
32.7	34.6
45.8	31.8
31.0	28.0
34.2	27.2
48.0	23.5

Cell and atoms:
```
CuAg5Cl7
1.0
3.8050 0.0000 0.0000
-1.5889 6.4958 0.0000
-1.4536 -0.6765 24.7835
Cu Ag Cl
2 10 14
Direct
0.0000 0.0000 0.0000
0.2891 0.9514 0.4867
0.0733 0.3983 0.6020
0.1460 0.4756 0.2434
0.2146 0.5548 0.8844
0.3511 0.9403 0.6661
0.3627 0.9790 0.1648
0.5257 0.4826 0.0870
0.6440 0.4767 0.7432
0.7653 0.4693 0.3998
0.9290 0.9728 0.3222
0.9366 0.0130 0.8203
0.0278 0.2594 0.1410
0.0780 0.7587 0.0642
0.2124 0.1926 0.4224
0.2634 0.6917 0.3457
0.2915 0.7548 0.7777
0.4486 0.1496 0.5673
0.5723 0.2168 0.2796
0.5825 0.2962 0.8469
0.5856 0.1996 0.0017
0.7036 0.7519 0.4850
0.7050 0.6569 0.6396
0.7192 0.7339 0.2068
0.8395 0.8033 0.9191
0.9964 0.1985 0.7088
```

(3)
For Cu2AgCl4, a crystal structure in Alexandria, relaxed with GGA-PBE gives the theoretical X-ray powder pattern in this record (Cu Ka).
Intensities are scaled so that the largest is 100.

Top 10 peaks for 10 to 90 degrees two-theta, most intense first:
2θ/deg	intensity
27.9	100.0
45.3	43.4
22.2	27.4
56.9	23.8
16.7	21.7
48.5	18.4
51.2	15.9
88.3	11.8
40.8	10.6
34.0	10.3

Cell and atoms:
```
Cu2AgCl4
1.0
5.3134 0.0000 0.0000
0.0000 5.3134 0.0000
0.0000 0.0000 6.0798
Cu Ag Cl
2 1 4
Direct
0.0000 0.5000 0.0000
0.5000 0.0000 0.0000
0.0000 0.0000 0.5000
0.2596 0.2596 0.7803
0.2596 0.7404 0.2197
0.7404 0.2596 0.2197
0.7404 0.7404 0.7803
```

(4)
For CuAg4Cl8, a crystal structure in Alexandria, relaxed with GGA-PBE gives the theoretical X-ray powder pattern in this record (Cu Ka).
Intensities are scaled so that the largest is 100.

Top 10 peaks for 10 to 90 degrees two-theta, most intense first:
2θ/deg	intensity
13.6	100.0
34.5	66.7
26.9	56.0
27.9	37.6
45.3	26.0
43.3	25.4
44.3	15.4
27.4	14.3
35.3	12.9
48.9	11.4

Cell and atoms:
```
CuAg4Cl8
1.0
7.3769 -3.7274 0.0000
7.3769 3.7274 0.0000
-3.1618 0.0000 6.5304
Cu Ag Cl
1 4 8
Direct
0.0000 0.0000 0.0000
0.0000 0.0000 0.5000
0.0000 0.5000 0.5000
0.5000 0.0000 0.5000
0.5000 0.5000 0.5000
0.2096 0.7769 0.7770
0.2231 0.7904 0.2230
0.2249 0.2249 0.6998
0.3156 0.3156 0.3309
0.6844 0.6844 0.6691
0.7751 0.7751 0.3002
0.7769 0.2096 0.7770
0.7904 0.2231 0.2230
```

(5)
For CuAgCl2, a crystal structure in Alexandria, relaxed with GGA-PBE gives the theoretical X-ray powder pattern in this record (Cu Ka).
Intensities are scaled so that the largest is 100.

Top 10 peaks for 10 to 90 degrees two-theta, most intense first:
2θ/deg	intensity
28.2	100.0
26.7	73.4
26.6	71.8
46.1	51.5
18.6	38.3
44.4	34.9
44.3	34.9
39.6	29.2
28.3	28.0
25.7	20.5

Cell and atoms:
```
CuAgCl2
1.0
3.9399 0.0000 0.0000
0.0000 7.3195 0.0000
-3.9112 0.0000 6.3084
Cu Ag Cl
2 2 4
Direct
0.0000 0.0878 0.0000
0.0000 0.9122 0.5000
0.9424 0.3090 0.4431
0.9424 0.6910 0.9431
0.1896 0.3768 0.1874
0.1896 0.6232 0.6874
0.3033 0.1009 0.8000
0.3033 0.8991 0.3000
```

(6)
For CuAg2Cl3F, a crystal structure in Alexandria, relaxed with GGA-PBE gives the theoretical X-ray powder pattern in this record (Cu Ka).
Intensities are scaled so that the largest is 100.

Top 10 peaks for 10 to 90 degrees two-theta, most intense first:
2θ/deg	intensity
30.1	100.0
29.4	58.5
26.1	57.9
38.3	53.4
36.1	48.0
47.7	43.2
38.7	33.7
49.0	28.3
53.6	27.9
47.5	24.1

Cell and atoms:
```
CuAg2Cl3F
1.0
-1.9145 2.3511 7.4674
1.9145 -2.3511 7.4674
1.9145 2.3511 -7.4674
Cu Ag Cl F
1 2 3 1
Direct
0.0000 0.0000 0.0000
0.3469 0.3469 0.0000
0.6531 0.6531 0.0000
0.1732 0.1732 0.0000
0.5000 0.0000 0.5000
0.8268 0.8268 0.0000
0.0000 0.5000 0.5000
```

(7)
For K4Cu3AgCl12, a crystal structure in Alexandria, relaxed with GGA-PBE gives the theoretical X-ray powder pattern in this record (Cu Ka).
Intensities are scaled so that the largest is 100.

Top 10 peaks for 10 to 90 degrees two-theta, most intense first:
2θ/deg	intensity
36.5	100.0
25.6	73.3
18.0	68.5
52.5	61.8
41.0	31.2
45.1	30.5
88.8	25.4
65.6	19.6
31.4	18.6
56.0	14.6

Cell and atoms:
```
K4Cu3AgCl12
1.0
-4.9280 4.9280 4.9280
4.9280 -4.9280 4.9280
4.9280 4.9280 -4.9280
K Cu Ag Cl
4 3 1 12
Direct
0.0000 0.0000 0.5000
0.0000 0.5000 0.0000
0.5000 0.0000 0.0000
0.5000 0.5000 0.5000
0.0000 0.5000 0.5000
0.5000 0.0000 0.5000
0.5000 0.5000 0.0000
0.0000 0.0000 0.0000
0.0000 0.2633 0.2633
0.0000 0.7367 0.7367
0.2500 0.5000 0.7500
0.2500 0.7500 0.5000
0.2633 0.0000 0.2633
0.2633 0.2633 0.0000
0.5000 0.2500 0.7500
0.5000 0.7500 0.2500
0.7367 0.0000 0.7367
0.7367 0.7367 0.0000
0.7500 0.2500 0.5000
0.7500 0.5000 0.2500
```

(8)
For LiCuAg2Cl6, a crystal structure in Alexandria, relaxed with GGA-PBE gives the theoretical X-ray powder pattern in this record (Cu Ka).
Intensities are scaled so that the largest is 100.

Top 10 peaks for 10 to 90 degrees two-theta, most intense first:
2θ/deg	intensity
17.5	100.0
22.7	75.2
18.3	68.1
27.7	63.3
19.1	60.1
25.4	57.3
41.4	50.6
40.8	47.7
46.6	46.6
43.6	44.6

Cell and atoms:
```
LiCuAg2Cl6
1.0
6.4185 0.0000 0.0000
2.6916 6.0209 0.0000
3.0297 1.0479 6.0512
Li Cu Ag Cl
1 1 2 6
Direct
0.0000 0.0000 0.0000
0.4339 0.4610 0.5905
0.2473 0.2699 0.1551
0.7607 0.7989 0.6199
0.0814 0.3749 0.8298
0.1274 0.8893 0.3233
0.3647 0.6895 0.8249
0.5135 0.2551 0.3454
0.6777 0.0371 0.8847
0.7987 0.5340 0.3895
```

(9)
For LiCuAg2Cl4, a crystal structure in Alexandria, relaxed with GGA-PBE gives the theoretical X-ray powder pattern in this record (Cu Ka).
Intensities are scaled so that the largest is 100.

Top 10 peaks for 10 to 90 degrees two-theta, most intense first:
2θ/deg	intensity
28.9	100.0
25.5	98.9
26.7	86.6
44.2	73.4
48.5	71.2
28.3	58.9
52.4	57.5
18.2	52.3
24.9	42.2
48.1	39.5

Cell and atoms:
```
LiCuAg2Cl4
1.0
7.9904 0.0000 0.0000
0.0000 7.1601 0.0000
0.0000 0.0000 6.6863
Li Cu Ag Cl
2 2 4 8
Direct
0.0000 0.1575 0.0000
0.5000 0.8425 0.5000
0.0000 0.8457 0.5010
0.5000 0.1543 0.0010
0.2491 0.6664 0.0103
0.2509 0.3336 0.5103
0.7491 0.3336 0.5103
0.7509 0.6664 0.0103
0.0000 0.1405 0.3588
0.0000 0.8538 0.8511
0.2450 0.6844 0.4013
0.2550 0.3156 0.9013
0.5000 0.1462 0.3511
0.5000 0.8595 0.8588
0.7450 0.3156 0.9013
0.7550 0.6844 0.4013
```

(10)
For MnCuAg2Cl6, a crystal structure in Alexandria, relaxed with GGA-PBE gives the theoretical X-ray powder pattern in this record (Cu Ka).
Intensities are scaled so that the largest is 100.

Top 10 peaks for 10 to 90 degrees two-theta, most intense first:
2θ/deg	intensity
30.3	100.0
14.1	80.3
26.7	72.2
47.1	61.1
24.4	43.7
36.9	43.6
28.3	36.8
46.1	26.0
54.0	24.8
36.4	24.3

Cell and atoms:
```
MnCuAg2Cl6
1.0
6.6853 0.0000 0.0000
-3.3426 5.7915 0.0000
-3.3281 -1.9335 6.2663
Mn Cu Ag Cl
1 1 2 6
Direct
0.0000 0.0000 0.0000
0.8155 0.4081 0.2242
0.3609 0.6806 0.0413
0.5077 0.2535 0.7604
0.1327 0.2359 0.7805
0.1328 0.3642 0.2405
0.4710 0.1076 0.2410
0.5447 0.8959 0.7804
0.8764 0.7696 0.2406
0.8848 0.6483 0.7803
```

(11)
For NaCu2Ag2Cl6, a crystal structure in Alexandria, relaxed with GGA-PBE gives the theoretical X-ray powder pattern in this record (Cu Ka).
Intensities are scaled so that the largest is 100.

Top 10 peaks for 10 to 90 degrees two-theta, most intense first:
2θ/deg	intensity
25.9	100.0
14.7	96.9
25.5	89.7
45.0	80.7
28.7	77.4
52.6	68.9
29.9	57.2
36.7	33.8
47.8	32.3
39.7	31.4

Cell and atoms:
```
NaCu2Ag2Cl6
1.0
6.9818 0.0000 0.0000
-3.4909 6.0464 0.0000
0.0000 0.0000 6.8723
Na Cu Ag Cl
1 2 2 6
Direct
0.0000 0.0000 0.0000
0.3333 0.6667 0.7741
0.6667 0.3333 0.2259
0.3333 0.6667 0.2048
0.6667 0.3333 0.7952
0.0279 0.3403 0.7580
0.3124 0.9721 0.7580
0.3403 0.3124 0.2420
0.6597 0.6876 0.7580
0.6876 0.0279 0.2420
0.9721 0.6597 0.2420
```

(12)
For Na3CuAg4Cl8, a crystal structure in Alexandria, relaxed with GGA-PBE gives the theoretical X-ray powder pattern in this record (Cu Ka).
Intensities are scaled so that the largest is 100.

Top 10 peaks for 10 to 90 degrees two-theta, most intense first:
2θ/deg	intensity
32.0	100.0
31.5	52.1
45.8	49.2
13.8	44.0
45.2	34.1
26.3	27.3
27.4	19.8
34.8	17.0
46.0	16.4
56.6	15.7

Cell and atoms:
```
Na3CuAg4Cl8
1.0
6.8593 -3.9698 0.0000
6.8593 3.9698 0.0000
-4.4333 0.0000 6.5292
Na Cu Ag Cl
3 1 4 8
Direct
0.0000 0.0000 0.0000
0.0000 0.5000 0.5000
0.5000 0.0000 0.5000
0.5000 0.5000 0.0000
0.0000 0.0000 0.5000
0.0000 0.5000 0.0000
0.5000 0.0000 0.0000
0.5000 0.5000 0.5000
0.2210 0.2210 0.7227
0.2484 0.2484 0.2451
0.2810 0.7174 0.2220
0.2826 0.7190 0.7780
0.7174 0.2810 0.2220
0.7190 0.2826 0.7780
0.7516 0.7516 0.7549
0.7790 0.7790 0.2773
```

(13)
For RbCuAgCl4, a crystal structure in Alexandria, relaxed with GGA-PBE gives the theoretical X-ray powder pattern in this record (Cu Ka).
Intensities are scaled so that the largest is 100.

Top 10 peaks for 10 to 90 degrees two-theta, most intense first:
2θ/deg	intensity
22.9	100.0
14.0	80.7
40.3	44.4
46.8	31.4
35.7	26.3
63.4	22.4
52.8	19.1
49.1	16.3
27.0	14.6
28.2	12.7

Cell and atoms:
```
RbCuAgCl4
1.0
0.0000 5.4862 5.4862
5.4862 0.0000 5.4862
5.4862 5.4862 0.0000
Rb Cu Ag Cl
1 1 1 4
Direct
0.0000 0.0000 0.0000
0.5000 0.5000 0.5000
0.7500 0.7500 0.7500
0.1445 0.6185 0.6185
0.6185 0.1445 0.6185
0.6185 0.6185 0.1445
0.6185 0.6185 0.6185
```